This entry pairs a crystal structure of KPaP2S8 with its simulated XRD peak list. Radiation: Cu Kα X-rays. Structure: a crystal structure in Alexandria, relaxed with GGA-PBE.
Lines closer than 0.1° are merged.

Largest 10 diffraction maxima, most intense first, 2θ from 10° to 80°:
two_theta  I (rel.)  hkl
20.57  100  1 0 4
34.37  53  1 1 6
16.84  53  1 0 1
47.54  43  2 -1 12
22.52  38  0 1 5
28.89  34  1 1 0
29.60  26  0 1 8
51.20  25  3 0 0
46.59  25  3 -1 4
35.73  23  0 2 4

Cell: 6.1800 6.1800 29.2343 Å, 90.00 90.00 120.00°
Space group R-3 (No. 148, hexagonal axes)
Inequivalent atoms, fractional coordinates:
1 K 0.0000 0.0000 0.0000 (multiplicity 3)
2 Pa 0.0000 0.0000 0.5000 (multiplicity 3)
3 P 0.0000 0.0000 0.2449 (multiplicity 6)
4 S 0.0000 0.0000 0.3120 (multiplicity 6)
5 S 0.0093 0.3555 0.4467 (multiplicity 18)